This entry pairs a crystal structure of TbGd2Co2B2C3 with its theoretical powder diffraction line list. Radiation: Cu Kα, 1.54184 Å. Structure: a structure optimized by DFT (GGA-PBE).
Kinematic intensities with the Lorentz-polarization factor, no thermal factor.

a b c (Å): 10.582 10.582 10.582
angles (deg): 160.53 160.53 27.67
Sites, in units of the cell vectors:
Tb 0.000 0.000 0.000
Gd 0.375 0.375 0.000
Gd 0.625 0.625 0.000
Co 0.250 0.750 0.500
Co 0.750 0.250 0.500
B 0.195 0.195 0.000
B 0.805 0.805 0.000
C 0.122 0.122 0.000
C 0.500 0.500 0.000
C 0.878 0.878 0.000

Main lines, by intensity (2θ = 15–90°):
2θ = 28.14°, d = 3.172 Å, intensity 100; 2θ = 33.20°, d = 2.699 Å, intensity 76; 2θ = 34.93°, d = 2.569 Å, intensity 47; 2θ = 35.48°, d = 2.530 Å, intensity 37; 2θ = 36.58°, d = 2.457 Å, intensity 35; 2θ = 51.05°, d = 1.789 Å, intensity 34; 2θ = 63.35°, d = 1.468 Å, intensity 32; 2θ = 39.71°, d = 2.270 Å, intensity 30; 2θ = 59.30°, d = 1.558 Å, intensity 27; 2θ = 62.26°, d = 1.491 Å, intensity 26